[1]
The following is a computed X-ray powder pattern of SrPa. It was derived from the GGA-PBE geometry in OQMD, using a wavelength of 1.5418 Å.
Lines closer than 0.1° are merged.

Top 12 peaks for 2θ from 15° to 90°, by angle:
2θ/deg  Rel. int.
27.8  34
30.3  32
33.4  100
41.5  28
52.8  28
53.8  16
61.6  22
64.8  15
78.7  9
81.7  8
82.5  10
89.1  14

Cell: 3.4071 3.4071 6.4294 Å, 90.00 90.00 120.00°
Atoms (fractional coordinates):
1 Sr 0.0000 0.0000 0.0000
2 Pa 0.3333 0.6667 0.5000

[2]
The following is a computed X-ray powder pattern of SrYPa. It was derived from the GGA-PBE geometry in OQMD, using a wavelength of 1.5418 Å.
Lines closer than 0.1° are merged.

Top 12 peaks for 2θ from 15° to 90°, by angle:
2θ/deg  Rel. int.
19.6  37
22.7  36
32.3  100
38.1  21
39.9  12
46.4  18
50.8  10
52.2  16
57.6  39
67.7  12
72.4  8
77.0  17

Cell: 5.5391 5.5391 5.5391 Å, 60.00 60.00 60.00°
Atoms (fractional coordinates):
1 Sr 0.0000 0.0000 0.0000
2 Y 0.7500 0.7500 0.7500
3 Pa 0.5000 0.5000 0.5000